[1]
The following is a theoretical powder XRD pattern of KEr2Cu3Se5. It was derived from a crystal structure in the Materials Project, relaxed with GGA-PBE, using a wavelength of 1.5418 Å.
Neutral-atom scattering factors, no anomalous dispersion.

Structure:
a = 7.4941 Å, b = 7.4941 Å, c = 17.0204 Å
α = 90.00°, β = 90.00°, γ = 148.16°
Fractional positions:
K: 0.0622 0.9378 0.7500
K: 0.9378 0.0622 0.2500
Er: 0.1922 0.8078 0.0931
Er: 0.1922 0.8078 0.4069
Er: 0.8078 0.1922 0.5931
Er: 0.8078 0.1922 0.9069
Cu: 0.3404 0.6596 0.7500
Cu: 0.4163 0.5837 0.0299
Cu: 0.4163 0.5837 0.4701
Cu: 0.5837 0.4163 0.5299
Cu: 0.5837 0.4163 0.9701
Cu: 0.6596 0.3404 0.2500
Se: 0.1660 0.8340 0.5705
Se: 0.1660 0.8340 0.9295
Se: 0.2491 0.7509 0.2500
Se: 0.4401 0.5599 0.6184
Se: 0.4401 0.5599 0.8816
Se: 0.5599 0.4401 0.1184
Se: 0.5599 0.4401 0.3816
Se: 0.7509 0.2491 0.7500
Se: 0.8340 0.1660 0.0705
Se: 0.8340 0.1660 0.4295

Peak list (10 most intense, 2θ from 5° to 70°, by intensity)
2theta  intensity
28.58  100.0
29.05  99.4
12.28  88.7
35.66  87.5
10.39  86.2
30.48  82.2
31.54  78.1
44.05  76.4
38.13  69.2
47.38  67.1

=====

[2]
The following is a theoretical powder XRD pattern of KEr2CuSe4. It was derived from a crystal structure in the Materials Project, relaxed with GGA-PBE, using a wavelength of 1.5418 Å.
Neutral-atom scattering factors, no anomalous dispersion.

Structure:
a = 7.2861 Å, b = 7.2861 Å, c = 14.3080 Å
α = 90.00°, β = 90.00°, γ = 147.41°
Fractional positions:
K: 0.1128 0.8872 0.7500
K: 0.8872 0.1128 0.2500
Er: 0.3659 0.6341 0.5651
Er: 0.3659 0.6341 0.9349
Er: 0.6341 0.3659 0.0651
Er: 0.6341 0.3659 0.4349
Cu: 0.1605 0.8395 0.2500
Cu: 0.8395 0.1605 0.7500
Se: 0.0000 0.0000 0.0000
Se: 0.0000 0.0000 0.5000
Se: 0.2648 0.7352 0.1105
Se: 0.2648 0.7352 0.3895
Se: 0.4361 0.5639 0.7500
Se: 0.5639 0.4361 0.2500
Se: 0.7352 0.2648 0.6105
Se: 0.7352 0.2648 0.8895

Peak list (10 most intense, 2θ from 5° to 70°, by intensity)
2theta  intensity
31.68  100.0
14.10  80.5
43.55  72.7
29.73  58.5
22.60  50.4
33.85  45.2
43.20  40.0
44.31  36.7
38.96  33.3
28.02  30.6

=====

[3]
The following is a theoretical powder XRD pattern of ErLuCu2. It was derived from a crystal structure in the Materials Project, relaxed with GGA-PBE, using a wavelength of 1.5418 Å.
Neutral-atom scattering factors, no anomalous dispersion.

Structure:
a = 6.8332 Å, b = 6.8332 Å, c = 6.8332 Å
α = 90.00°, β = 90.00°, γ = 90.00°
Fractional positions:
Er: 0.0000 0.0000 0.0000
Er: 0.0000 0.5000 0.5000
Er: 0.5000 0.0000 0.5000
Er: 0.5000 0.5000 0.0000
Lu: 0.0000 0.0000 0.5000
Lu: 0.0000 0.5000 0.0000
Lu: 0.5000 0.0000 0.0000
Lu: 0.5000 0.5000 0.5000
Cu: 0.2500 0.2500 0.2500
Cu: 0.2500 0.2500 0.7500
Cu: 0.2500 0.7500 0.2500
Cu: 0.2500 0.7500 0.7500
Cu: 0.7500 0.2500 0.2500
Cu: 0.7500 0.2500 0.7500
Cu: 0.7500 0.7500 0.2500
Cu: 0.7500 0.7500 0.7500

Peak list (6 most intense, 2θ from 5° to 70°, by intensity)
2theta  intensity
37.22  100.0
67.10  34.6
26.08  21.8
53.65  17.2
60.60  9.2
46.01  6.6

=====

[4]
The following is a theoretical powder XRD pattern of ErCuNi. It was derived from a crystal structure in the Materials Project, relaxed with GGA-PBE, using a wavelength of 1.5418 Å.
Neutral-atom scattering factors, no anomalous dispersion.

Structure:
a = 5.0712 Å, b = 5.2119 Å, c = 7.2140 Å
α = 90.00°, β = 90.00°, γ = 90.00°
Fractional positions:
Er: 0.0000 0.2500 0.1272
Er: 0.0000 0.7500 0.8728
Er: 0.5000 0.2500 0.3728
Er: 0.5000 0.7500 0.6272
Cu: 0.2500 0.2500 0.7500
Cu: 0.2500 0.7500 0.2500
Cu: 0.7500 0.2500 0.7500
Cu: 0.7500 0.7500 0.2500
Ni: 0.0000 0.0000 0.5000
Ni: 0.0000 0.5000 0.5000
Ni: 0.5000 0.0000 0.0000
Ni: 0.5000 0.5000 0.0000

Peak list (10 most intense, 2θ from 5° to 70°, by intensity)
2theta  intensity
41.55  100.0
35.05  83.0
40.90  64.6
41.35  31.6
63.31  23.0
34.41  22.9
67.31  22.6
35.40  19.2
42.81  16.6
66.52  16.0